This entry pairs a crystal structure of Ac2SiN3 with its computed powder X-ray diffraction pattern. Radiation: Cu Kα X-rays. Structure: DFT lattice parameters and positions (PBE).

Peak list (8 most intense, 10 to 90 degrees two-theta, by angle)
two_theta, I (rel.), h k l
22.79, 48.5, 1 1 2
27.96, 35.6, 1 1 3
28.81, 16.8, 0 0 4
29.31, 40.8, 1 3 1
31.95, 100.0, 2 0 0
39.65, 22.2, 0 2 5
51.81, 26.0, 2 2 5
54.97, 20.2, 1 1 7

Atomic structure:
```
data_Ac2SiN3
_cell_length_a 5.5966
_cell_length_b 11.3982
_cell_length_c 12.3958
_cell_angle_alpha 90.00
_cell_angle_beta 90.00
_cell_angle_gamma 90.00
_space_group_name_H-M_alt 'C m c e'
_space_group_IT_number 64
_space_group_name_Hall '-C 2ac 2'
loop_
_atom_site_label
_atom_site_fract_x
_atom_site_fract_y
_atom_site_fract_z
Ac1 0.0000 0.0618 0.1415
Ac2 0.0000 0.1399 0.5734
Si1 0.0000 0.2405 0.3320
N1 0.0000 0.0860 0.3621
N2 0.0000 0.1610 0.9424
N3 0.2500 0.2330 0.7500
```